No. 1
Diffraction record for Tb2Pt. The powder diffractogram is simulated, not measured: it uses a cell relaxed with GGA-PBE and a wavelength of 1.5418 Å.
Intensities are scaled so that the largest is 100.

Cell and atoms:
a = 7.208 Å, b = 4.803 Å, c = 8.852 Å
α = 90.00°, β = 90.00°, γ = 90.00°
Sites, in units of the cell vectors:
Tb 0.009 0.250 0.166
Tb 0.143 0.250 0.582
Tb 0.357 0.750 0.082
Tb 0.491 0.750 0.666
Tb 0.509 0.250 0.334
Tb 0.643 0.250 0.918
Tb 0.857 0.750 0.418
Tb 0.991 0.750 0.834
Pt 0.241 0.250 0.909
Pt 0.259 0.750 0.409
Pt 0.741 0.250 0.591
Pt 0.759 0.750 0.091

Main lines, low angle first (15° ≤ 2θ ≤ 90°):
d_spacing, 2θ (°), intensity
2.966, 30.13, 84
2.883, 31.02, 32
2.795, 32.03, 24
2.741, 32.67, 100
2.514, 35.71, 72
2.401, 37.45, 68
2.112, 42.82, 24
2.088, 43.33, 30
2.062, 43.91, 34
1.366, 68.72, 24

=====

No. 2
Diffraction record for SrVN2. The powder diffractogram is simulated, not measured: it uses a cell relaxed with GGA-PBE and a wavelength of 1.5418 Å.
Intensities are scaled so that the largest is 100.

Cell and atoms:
a = 6.294 Å, b = 7.385 Å, c = 5.728 Å
α = 90.00°, β = 113.03°, γ = 90.00°
Sites, in units of the cell vectors:
Sr 0.157 0.075 0.315
Sr 0.157 0.425 0.815
Sr 0.843 0.575 0.185
Sr 0.843 0.925 0.685
V 0.379 0.644 0.427
V 0.379 0.856 0.927
V 0.621 0.144 0.073
V 0.621 0.356 0.573
N 0.238 0.727 0.100
N 0.238 0.773 0.600
N 0.291 0.098 0.928
N 0.291 0.402 0.428
N 0.709 0.598 0.572
N 0.709 0.902 0.072
N 0.762 0.227 0.400
N 0.762 0.273 0.900

Main lines, low angle first (15° ≤ 2θ ≤ 90°):
d_spacing, 2θ (°), intensity
3.021, 29.57, 96
2.968, 30.11, 24
2.858, 31.30, 100
2.696, 33.23, 24
2.266, 39.79, 20
2.109, 42.88, 14
2.027, 44.70, 12
1.876, 48.54, 16
1.710, 53.60, 12
1.690, 54.29, 11

=====

No. 3
Diffraction record for Te6Cl2O11. The powder diffractogram is simulated, not measured: it uses a cell relaxed with GGA-PBE and a wavelength of 1.5418 Å.
Intensities are scaled so that the largest is 100.

Cell and atoms:
a = 6.904 Å, b = 6.904 Å, c = 15.680 Å
α = 90.00°, β = 90.00°, γ = 60.54°
Sites, in units of the cell vectors:
Te 0.075 0.925 0.642
Te 0.075 0.925 0.858
Te 0.210 0.476 0.086
Te 0.210 0.476 0.414
Te 0.476 0.210 0.586
Te 0.476 0.210 0.914
Te 0.524 0.790 0.086
Te 0.524 0.790 0.414
Te 0.790 0.524 0.586
Te 0.790 0.524 0.914
Te 0.925 0.075 0.142
Te 0.925 0.075 0.358
Cl 0.130 0.548 0.750
Cl 0.452 0.870 0.750
Cl 0.548 0.130 0.250
Cl 0.870 0.452 0.250
O 0.041 0.198 0.595
O 0.041 0.198 0.905
O 0.071 0.929 0.250
O 0.184 0.514 0.536
O 0.184 0.514 0.964
O 0.198 0.041 0.095
O 0.198 0.041 0.405
O 0.423 0.577 0.115
O 0.423 0.577 0.385
O 0.486 0.816 0.536
O 0.486 0.816 0.964
O 0.514 0.184 0.036
O 0.514 0.184 0.464
O 0.577 0.423 0.615
O 0.577 0.423 0.885
O 0.802 0.959 0.595
O 0.802 0.959 0.905
O 0.816 0.486 0.036
O 0.816 0.486 0.464
O 0.929 0.071 0.750
O 0.959 0.802 0.095
O 0.959 0.802 0.405

Main lines, low angle first (15° ≤ 2θ ≤ 90°):
d_spacing, 2θ (°), intensity
4.763, 18.63, 47
3.944, 22.54, 38
3.920, 22.68, 47
3.452, 25.81, 100
3.398, 26.23, 35
2.897, 30.87, 67
2.880, 31.05, 88
2.395, 37.55, 33
1.988, 45.64, 46
1.639, 56.12, 30

=====

No. 4
Diffraction record for ZnSeO3. The powder diffractogram is simulated, not measured: it uses a cell relaxed with GGA-PBE and a wavelength of 1.5418 Å.
Intensities are scaled so that the largest is 100.

Cell and atoms:
a = 6.352 Å, b = 12.077 Å, c = 7.516 Å
α = 90.00°, β = 90.00°, γ = 90.00°
Sites, in units of the cell vectors:
Zn 0.134 0.095 0.109
Zn 0.134 0.405 0.609
Zn 0.366 0.595 0.109
Zn 0.366 0.905 0.609
Zn 0.634 0.095 0.391
Zn 0.634 0.405 0.891
Zn 0.866 0.595 0.391
Zn 0.866 0.905 0.891
Se 0.111 0.143 0.538
Se 0.111 0.357 0.038
Se 0.389 0.643 0.538
Se 0.389 0.857 0.038
Se 0.611 0.143 0.962
Se 0.611 0.357 0.462
Se 0.889 0.643 0.962
Se 0.889 0.857 0.462
O 0.015 0.594 0.156
O 0.015 0.906 0.656
O 0.158 0.565 0.527
O 0.158 0.935 0.027
O 0.203 0.231 0.966
O 0.203 0.269 0.466
O 0.297 0.731 0.966
O 0.297 0.769 0.466
O 0.342 0.065 0.527
O 0.342 0.435 0.027
O 0.485 0.094 0.156
O 0.485 0.406 0.656
O 0.515 0.594 0.344
O 0.515 0.906 0.844
O 0.658 0.565 0.973
O 0.658 0.935 0.473
O 0.703 0.231 0.534
O 0.703 0.269 0.034
O 0.797 0.731 0.534
O 0.797 0.769 0.034
O 0.842 0.065 0.973
O 0.842 0.435 0.473
O 0.985 0.094 0.344
O 0.985 0.406 0.844

Main lines, low angle first (15° ≤ 2θ ≤ 90°):
d_spacing, 2θ (°), intensity
4.707, 18.85, 33
3.758, 23.67, 100
3.234, 27.58, 61
3.098, 28.82, 46
3.071, 29.07, 100
3.019, 29.59, 67
2.493, 36.02, 32
2.378, 37.83, 40
2.207, 40.89, 32
2.174, 41.53, 32

=====

No. 5
Diffraction record for Nd4Mg. The powder diffractogram is simulated, not measured: it uses a cell relaxed with GGA-PBE and a wavelength of 1.5418 Å.
Intensities are scaled so that the largest is 100.

Cell and atoms:
a = 8.171 Å, b = 8.171 Å, c = 8.171 Å
α = 60.00°, β = 60.00°, γ = 60.00°
Sites, in units of the cell vectors:
Nd 0.188 0.771 0.771
Nd 0.229 0.229 0.229
Nd 0.229 0.229 0.812
Nd 0.229 0.812 0.229
Nd 0.771 0.188 0.771
Nd 0.771 0.771 0.188
Nd 0.771 0.771 0.771
Nd 0.812 0.229 0.229
Mg 0.375 0.375 0.375
Mg 0.625 0.625 0.625

Main lines, low angle first (15° ≤ 2θ ≤ 90°):
d_spacing, 2θ (°), intensity
3.336, 26.73, 100
2.889, 30.96, 43
2.651, 33.81, 20
2.224, 40.57, 32
2.043, 44.35, 30
1.742, 52.53, 25
1.618, 56.91, 17
1.504, 61.66, 14
1.412, 66.20, 12
1.117, 87.28, 14

=====

No. 6
Diffraction record for K3Li. The powder diffractogram is simulated, not measured: it uses a cell relaxed with GGA-PBE and a wavelength of 1.5418 Å.
Intensities are scaled so that the largest is 100.

Cell and atoms:
a = 6.185 Å, b = 6.185 Å, c = 6.185 Å
α = 90.00°, β = 90.00°, γ = 90.00°
Sites, in units of the cell vectors:
K 0.000 0.000 0.500
K 0.000 0.500 0.000
K 0.500 0.000 0.000
Li 0.500 0.500 0.500

Main lines, low angle first (15° ≤ 2θ ≤ 90°):
d_spacing, 2θ (°), intensity
4.374, 20.30, 20
3.571, 24.93, 100
3.093, 28.87, 50
2.766, 32.37, 11
2.187, 41.28, 34
1.865, 48.83, 40
1.786, 51.16, 11
1.419, 65.82, 15
1.383, 67.75, 13
1.190, 80.73, 10

=====

No. 7
Diffraction record for KRb2AlCl6. The powder diffractogram is simulated, not measured: it uses a cell relaxed with GGA-PBE and a wavelength of 1.5418 Å.
Intensities are scaled so that the largest is 100.

Cell and atoms:
a = 7.549 Å, b = 7.549 Å, c = 7.549 Å
α = 60.00°, β = 60.00°, γ = 60.00°
Sites, in units of the cell vectors:
K 0.000 0.000 0.000
Rb 0.250 0.250 0.250
Rb 0.750 0.750 0.750
Al 0.500 0.500 0.500
Cl 0.280 0.280 0.720
Cl 0.280 0.720 0.280
Cl 0.280 0.720 0.720
Cl 0.720 0.280 0.280
Cl 0.720 0.280 0.720
Cl 0.720 0.720 0.280

Main lines, low angle first (15° ≤ 2θ ≤ 90°):
d_spacing, 2θ (°), intensity
3.775, 23.57, 84
3.082, 28.97, 99
2.669, 33.58, 100
2.179, 41.43, 30
1.887, 48.22, 60
1.688, 54.35, 24
1.610, 57.24, 29
1.541, 60.04, 18
1.427, 65.42, 23
1.194, 80.46, 20

=====

No. 8
Diffraction record for KDyTiO4. The powder diffractogram is simulated, not measured: it uses a cell relaxed with GGA-PBE and a wavelength of 1.5418 Å.
Intensities are scaled so that the largest is 100.

Cell and atoms:
a = 12.925 Å, b = 5.516 Å, c = 5.393 Å
α = 90.00°, β = 90.00°, γ = 90.00°
Sites, in units of the cell vectors:
K 0.095 0.022 0.250
K 0.095 0.478 0.750
K 0.905 0.522 0.250
K 0.905 0.978 0.750
Dy 0.398 0.028 0.250
Dy 0.398 0.472 0.750
Dy 0.602 0.528 0.250
Dy 0.602 0.972 0.750
Ti 0.255 0.508 0.250
Ti 0.255 0.992 0.750
Ti 0.745 0.008 0.250
Ti 0.745 0.492 0.750
O 0.120 0.540 0.250
O 0.120 0.960 0.750
O 0.271 0.250 0.000
O 0.271 0.250 0.500
O 0.301 0.750 0.000
O 0.301 0.750 0.500
O 0.439 0.072 0.750
O 0.439 0.428 0.250
O 0.561 0.572 0.750
O 0.561 0.928 0.250
O 0.699 0.250 0.000
O 0.699 0.250 0.500
O 0.729 0.750 0.000
O 0.729 0.750 0.500
O 0.880 0.040 0.250
O 0.880 0.460 0.750

Main lines, low angle first (15° ≤ 2θ ≤ 90°):
d_spacing, 2θ (°), intensity
3.311, 26.92, 44
2.873, 31.13, 100
2.758, 32.47, 27
2.697, 33.22, 36
2.154, 41.94, 13
1.928, 47.14, 30
1.682, 54.55, 16
1.614, 57.08, 17
1.589, 58.05, 17
1.437, 64.91, 12

=====

No. 9
Diffraction record for CuSiH8O4F6. The powder diffractogram is simulated, not measured: it uses a cell relaxed with GGA-PBE and a wavelength of 1.5418 Å.
Intensities are scaled so that the largest is 100.

Cell and atoms:
a = 6.823 Å, b = 9.490 Å, c = 6.194 Å
α = 90.00°, β = 110.97°, γ = 90.00°
Sites, in units of the cell vectors:
Cu 0.000 0.000 0.000
Cu 0.000 0.500 0.500
Si 0.500 0.000 0.500
Si 0.500 0.500 0.000
H 0.027 0.216 0.275
H 0.027 0.284 0.775
H 0.204 0.701 0.407
H 0.204 0.799 0.907
H 0.235 0.099 0.794
H 0.235 0.401 0.294
H 0.302 0.155 0.058
H 0.302 0.345 0.558
H 0.698 0.655 0.442
H 0.698 0.845 0.942
H 0.765 0.599 0.706
H 0.765 0.901 0.206
H 0.796 0.201 0.093
H 0.796 0.299 0.593
H 0.973 0.716 0.225
H 0.973 0.784 0.725
O 0.080 0.646 0.316
O 0.080 0.854 0.816
O 0.179 0.137 0.912
O 0.179 0.363 0.412
O 0.821 0.637 0.588
O 0.821 0.863 0.088
O 0.920 0.146 0.184
O 0.920 0.354 0.684
F 0.304 0.067 0.584
F 0.304 0.433 0.084
F 0.315 0.591 0.783
F 0.315 0.909 0.283
F 0.473 0.143 0.319
F 0.473 0.357 0.819
F 0.527 0.643 0.181
F 0.527 0.857 0.681
F 0.685 0.091 0.717
F 0.685 0.409 0.217
F 0.696 0.567 0.916
F 0.696 0.933 0.416

Main lines, low angle first (15° ≤ 2θ ≤ 90°):
d_spacing, 2θ (°), intensity
4.745, 18.70, 37
4.652, 19.08, 100
3.429, 25.99, 55
2.469, 36.38, 12
2.368, 38.00, 9
2.326, 38.71, 11
2.297, 39.22, 14
2.173, 41.55, 10
1.834, 49.71, 9
1.727, 53.03, 9